1.
The following is a computed powder X-ray diffraction pattern of NbPbF6. It was derived from a cell relaxed with GGA-PBE, using Cu Kα X-rays.
Intensities are scaled so that the largest is 100.

Structural model:
Cell: 5.6535 5.6535 5.6535 Å, 53.85 53.85 53.85°
Atoms (fractional coordinates):
1 Nb 0.0000 0.0000 0.0000
2 Pb 0.5000 0.5000 0.5000
3 F 0.0062 0.4257 0.8072
4 F 0.1928 0.9938 0.5743
5 F 0.4257 0.8072 0.0062
6 F 0.5743 0.1928 0.9938
7 F 0.8072 0.0062 0.4257
8 F 0.9938 0.5743 0.1928

Most intense lines, 2θ = 15–90°, sorted by position:
- 2θ = 23.54°, I 100
- 2θ = 31.94°, I 59
- 2θ = 35.05°, I 28
- 2θ = 39.87°, I 12
- 2θ = 42.65°, I 29
- 2θ = 48.15°, I 13
- 2θ = 52.13°, I 35
- 2θ = 54.86°, I 12
- 2θ = 56.35°, I 22
- 2θ = 60.93°, I 17


2.
The following is a computed powder X-ray diffraction pattern of NbPb2F8. It was derived from a cell relaxed with GGA-PBE, using Cu Kα X-rays.
Intensities are scaled so that the largest is 100.

Structural model:
Cell: 6.7638 6.7638 6.7638 Å, 135.26 135.26 65.13°
Atoms (fractional coordinates):
1 Nb 0.0000 0.0000 0.0000
2 Pb 0.3346 0.3346 0.0000
3 Pb 0.6654 0.6654 0.0000
4 F 0.0441 0.3706 0.1112
5 F 0.0671 0.9559 0.3265
6 F 0.1245 0.6143 0.8417
7 F 0.2594 0.9329 0.8888
8 F 0.3857 0.2274 0.5102
9 F 0.6294 0.7406 0.6735
10 F 0.7172 0.8755 0.4898
11 F 0.7726 0.2828 0.1583

Most intense lines, 2θ = 15–90°, sorted by position:
- 2θ = 24.45°, I 89
- 2θ = 29.21°, I 100
- 2θ = 34.85°, I 27
- 2θ = 46.09°, I 76
- 2θ = 54.47°, I 23
- 2θ = 56.52°, I 20
- 2θ = 59.06°, I 20
- 2θ = 60.57°, I 15
- 2θ = 70.44°, I 19
- 2θ = 77.15°, I 14


3.
The following is a computed powder X-ray diffraction pattern of RbNb4S5F. It was derived from a cell relaxed with GGA-PBE, using Cu Kα X-rays.
Intensities are scaled so that the largest is 100.

Structural model:
Cell: 4.8806 4.8806 8.8438 Å, 90.00 90.00 90.00°
Atoms (fractional coordinates):
1 Rb 0.0000 0.0000 0.0000
2 Nb 0.0000 0.5000 0.5000
3 Nb 0.5000 0.0000 0.5000
4 Nb 0.5000 0.5000 0.2712
5 Nb 0.5000 0.5000 0.7288
6 S 0.0000 0.0000 0.5000
7 S 0.0000 0.5000 0.2261
8 S 0.0000 0.5000 0.7739
9 S 0.5000 0.0000 0.2261
10 S 0.5000 0.0000 0.7739
11 F 0.5000 0.5000 0.0000

Most intense lines, 2θ = 15–90°, sorted by position:
- 2θ = 27.21°, I 87
- 2θ = 27.75°, I 48
- 2θ = 36.83°, I 100
- 2θ = 40.23°, I 57
- 2θ = 40.81°, I 32
- 2θ = 46.39°, I 39
- 2θ = 53.07°, I 33
- 2θ = 56.14°, I 47
- 2θ = 68.64°, I 22
- 2θ = 69.04°, I 25


4.
The following is a computed powder X-ray diffraction pattern of NbSbF10. It was derived from a cell relaxed with GGA-PBE, using Cu Kα X-rays.
Intensities are scaled so that the largest is 100.

Structural model:
Cell: 5.3302 6.7292 8.6151 Å, 86.73 74.18 79.77°
Atoms (fractional coordinates):
1 Nb 0.1783 0.3276 0.2039
2 Nb 0.8217 0.6724 0.7961
3 Sb 0.4742 0.2262 0.6866
4 Sb 0.5258 0.7738 0.3134
5 F 0.0194 0.1506 0.1233
6 F 0.0366 0.3302 0.4261
7 F 0.2048 0.4653 0.7488
8 F 0.2127 0.0822 0.6704
9 F 0.2196 0.5229 0.0389
10 F 0.2372 0.9909 0.3564
11 F 0.2835 0.5989 0.2960
12 F 0.4342 0.1645 0.9082
13 F 0.4664 0.7031 0.5328
14 F 0.4666 0.7711 0.8258
15 F 0.5334 0.2289 0.1742
16 F 0.5336 0.2969 0.4672
17 F 0.5658 0.8355 0.0918
18 F 0.7165 0.4011 0.7040
19 F 0.7628 0.0091 0.6436
20 F 0.7804 0.4771 0.9611
21 F 0.7873 0.9178 0.3296
22 F 0.7952 0.5347 0.2512
23 F 0.9634 0.6698 0.5739
24 F 0.9806 0.8494 0.8767

Most intense lines, 2θ = 15–90°, sorted by position:
- 2θ = 17.55°, I 36
- 2θ = 20.22°, I 73
- 2θ = 20.51°, I 56
- 2θ = 21.44°, I 94
- 2θ = 24.24°, I 100
- 2θ = 25.46°, I 53
- 2θ = 25.81°, I 65
- 2θ = 26.93°, I 45
- 2θ = 28.08°, I 53
- 2θ = 46.01°, I 56


5.
The following is a computed powder X-ray diffraction pattern of NbSbF8. It was derived from a cell relaxed with GGA-PBE, using Cu Kα X-rays.
Intensities are scaled so that the largest is 100.

Structural model:
Cell: 5.1708 7.1529 6.7466 Å, 90.00 96.85 90.00°
Atoms (fractional coordinates):
1 Nb 0.0253 0.2500 0.3009
2 Nb 0.9747 0.7500 0.6991
3 Sb 0.3927 0.7500 0.2242
4 Sb 0.6073 0.2500 0.7758
5 F 0.0230 0.7500 0.4145
6 F 0.0729 0.7500 0.9999
7 F 0.2080 0.0202 0.2060
8 F 0.2080 0.4798 0.2060
9 F 0.2399 0.5602 0.7024
10 F 0.2399 0.9398 0.7024
11 F 0.3756 0.2500 0.4401
12 F 0.4319 0.2500 0.0116
13 F 0.5681 0.7500 0.9884
14 F 0.6244 0.7500 0.5599
15 F 0.7601 0.0602 0.2976
16 F 0.7601 0.4398 0.2976
17 F 0.7920 0.5202 0.7940
18 F 0.7920 0.9798 0.7940
19 F 0.9271 0.2500 0.0001
20 F 0.9770 0.2500 0.5855

Most intense lines, 2θ = 15–90°, sorted by position:
- 2θ = 23.05°, I 31
- 2θ = 24.02°, I 100
- 2θ = 24.90°, I 66
- 2θ = 26.24°, I 47
- 2θ = 26.62°, I 40
- 2θ = 34.18°, I 21
- 2θ = 43.36°, I 50
- 2θ = 44.11°, I 21
- 2θ = 48.90°, I 20
- 2θ = 51.08°, I 18


6.
The following is a computed powder X-ray diffraction pattern of NbSeF9. It was derived from a cell relaxed with GGA-PBE, using Cu Kα X-rays.
Intensities are scaled so that the largest is 100.

Structural model:
Cell: 8.2324 8.2324 8.2324 Å, 92.76 92.76 92.76°
Atoms (fractional coordinates):
1 Nb 0.0000 0.0000 0.0000
2 Nb 0.0699 0.4128 0.6458
3 Nb 0.4128 0.6458 0.0699
4 Nb 0.6458 0.0699 0.4128
5 Se 0.1579 0.9342 0.4837
6 Se 0.4837 0.1579 0.9342
7 Se 0.5533 0.5533 0.5533
8 Se 0.9342 0.4837 0.1579
9 F 0.0205 0.4432 0.4113
10 F 0.0261 0.6307 0.6872
11 F 0.0543 0.7857 0.9515
12 F 0.0811 0.9715 0.2262
13 F 0.1315 0.1955 0.5655
14 F 0.1483 0.3698 0.8575
15 F 0.1955 0.5655 0.1315
16 F 0.2068 0.7380 0.4206
17 F 0.2241 0.9050 0.6833
18 F 0.2262 0.0811 0.9715
19 F 0.2944 0.4738 0.5876
20 F 0.3310 0.6663 0.8556
21 F 0.3698 0.8575 0.1483
22 F 0.4113 0.0205 0.4432
23 F 0.4206 0.2068 0.7380
24 F 0.4432 0.4113 0.0205
25 F 0.4738 0.5876 0.2944
26 F 0.5117 0.7532 0.6080
27 F 0.5142 0.9564 0.8726
28 F 0.5655 0.1315 0.1955
29 F 0.5876 0.2944 0.4738
30 F 0.6080 0.5117 0.7532
31 F 0.6307 0.6872 0.0261
32 F 0.6663 0.8556 0.3310
33 F 0.6833 0.2241 0.9050
34 F 0.6872 0.0261 0.6307
35 F 0.7380 0.4206 0.2068
36 F 0.7532 0.6080 0.5117
37 F 0.7857 0.9515 0.0543
38 F 0.8556 0.3310 0.6663
39 F 0.8575 0.1483 0.3698
40 F 0.8726 0.5142 0.9564
41 F 0.9050 0.6833 0.2241
42 F 0.9515 0.0543 0.7857
43 F 0.9564 0.8726 0.5142
44 F 0.9715 0.2262 0.0811

Most intense lines, 2θ = 15–90°, sorted by position:
- 2θ = 21.64°, I 67
- 2θ = 23.73°, I 39
- 2θ = 24.73°, I 100
- 2θ = 25.90°, I 57
- 2θ = 26.36°, I 35
- 2θ = 31.95°, I 21
- 2θ = 36.11°, I 21
- 2θ = 46.80°, I 76
- 2θ = 48.18°, I 17
- 2θ = 68.65°, I 19


- What is the formula in the first record?
  NbPbF6


- What is the formula in the fifth record?
  NbSbF8


Please write out number 3 again, unchanged.
The following is a computed powder X-ray diffraction pattern of RbNb4S5F. It was derived from a cell relaxed with GGA-PBE, using Cu Kα X-rays.
Intensities are scaled so that the largest is 100.

Structural model:
Cell: 4.8806 4.8806 8.8438 Å, 90.00 90.00 90.00°
Atoms (fractional coordinates):
1 Rb 0.0000 0.0000 0.0000
2 Nb 0.0000 0.5000 0.5000
3 Nb 0.5000 0.0000 0.5000
4 Nb 0.5000 0.5000 0.2712
5 Nb 0.5000 0.5000 0.7288
6 S 0.0000 0.0000 0.5000
7 S 0.0000 0.5000 0.2261
8 S 0.0000 0.5000 0.7739
9 S 0.5000 0.0000 0.2261
10 S 0.5000 0.0000 0.7739
11 F 0.5000 0.5000 0.0000

Most intense lines, 2θ = 15–90°, sorted by position:
- 2θ = 27.21°, I 87
- 2θ = 27.75°, I 48
- 2θ = 36.83°, I 100
- 2θ = 40.23°, I 57
- 2θ = 40.81°, I 32
- 2θ = 46.39°, I 39
- 2θ = 53.07°, I 33
- 2θ = 56.14°, I 47
- 2θ = 68.64°, I 22
- 2θ = 69.04°, I 25